1.
NaPm6O8: calculated PXRD pattern (a wavelength of 1.5418 Å), based on the GGA-PBE geometry in Alexandria.

Peak list (12 most intense, 10 to 90 degrees two-theta, in order of rising 2θ)
d [Å]	Rel. int.
3.539	33
3.006	11
2.917	100
2.575	26
2.219	13
2.082	25
2.043	29
1.987	9
1.673	13
1.660	10
1.600	21
1.545	16

Atomic structure:
abc: 6.5748 6.5748 6.5748
angles: 65.13 65.13 65.13
Fractional positions:
Na: 0.0000 0.0000 0.0000
Pm: 0.0862 0.7036 0.4649
Pm: 0.2964 0.5351 0.9138
Pm: 0.4649 0.0862 0.7036
Pm: 0.5351 0.9138 0.2964
Pm: 0.7036 0.4649 0.0862
Pm: 0.9138 0.2964 0.5351
O: 0.0927 0.3627 0.8126
O: 0.1874 0.9073 0.6373
O: 0.3263 0.3263 0.3263
O: 0.3627 0.8126 0.0927
O: 0.6373 0.1874 0.9073
O: 0.6737 0.6737 0.6737
O: 0.8126 0.0927 0.3627
O: 0.9073 0.6373 0.1874

***

2.
SnSb2Pd7: calculated PXRD pattern (a wavelength of 1.5418 Å), based on the GGA-PBE geometry in Alexandria.

Peak list (12 most intense, 10 to 90 degrees two-theta, in order of rising 2θ)
d [Å]	Rel. int.
3.985	4
3.561	18
2.274	100
2.123	4
2.025	36
1.870	13
1.760	5
1.432	12
1.374	18
1.212	26
1.143	9
1.137	10

Atomic structure:
abc: 11.5819 11.5819 11.5819
angles: 159.86 159.86 28.63
Fractional positions:
Sn: 0.0000 0.0000 0.0000
Sb: 0.3311 0.3311 0.0000
Sb: 0.6689 0.6689 0.0000
Pd: 0.0903 0.5903 0.5000
Pd: 0.2500 0.7500 0.5000
Pd: 0.4097 0.9097 0.5000
Pd: 0.5000 0.5000 0.0000
Pd: 0.5903 0.0903 0.5000
Pd: 0.7500 0.2500 0.5000
Pd: 0.9097 0.4097 0.5000

***

3.
Nd2S3: calculated PXRD pattern (a wavelength of 1.5418 Å), based on the GGA-PBE geometry in Alexandria.

Peak list (12 most intense, 10 to 90 degrees two-theta, in order of rising 2θ)
d [Å]	Rel. int.
3.849	100
3.780	47
3.576	43
3.483	55
3.405	48
3.098	52
2.786	38
2.603	62
2.230	36
2.098	37
2.019	39
1.789	36

Atomic structure:
abc: 11.0459 4.0386 10.7362
angles: 90.00 90.00 90.00
Fractional positions:
Nd: 0.0088 0.2500 0.1863
Nd: 0.1920 0.2500 0.5049
Nd: 0.3080 0.7500 0.0049
Nd: 0.4912 0.7500 0.6863
Nd: 0.5088 0.2500 0.3137
Nd: 0.6920 0.2500 0.9951
Nd: 0.8080 0.7500 0.4951
Nd: 0.9912 0.7500 0.8137
S: 0.0459 0.7500 0.3736
S: 0.1207 0.2500 0.9447
S: 0.2295 0.7500 0.6991
S: 0.2705 0.2500 0.1991
S: 0.3793 0.7500 0.4447
S: 0.4541 0.2500 0.8736
S: 0.5459 0.7500 0.1264
S: 0.6207 0.2500 0.5553
S: 0.7295 0.7500 0.8009
S: 0.7705 0.2500 0.3009
S: 0.8793 0.7500 0.0553
S: 0.9541 0.2500 0.6264

***

4.
La6TbTm3: calculated PXRD pattern (a wavelength of 1.5418 Å), based on the GGA-PBE geometry in Alexandria.

Peak list (12 most intense, 10 to 90 degrees two-theta, in order of rising 2θ)
d [Å]	Rel. int.
3.379	26
3.363	27
2.952	75
2.922	100
2.912	54
2.766	58
2.675	21
2.633	65
2.498	21
2.383	20
1.942	18
1.845	25

Atomic structure:
abc: 9.0574 9.0574 9.0574
angles: 80.05 80.05 80.05
Fractional positions:
La: 0.0370 0.0370 0.3325
La: 0.0370 0.3325 0.0370
La: 0.2135 0.2135 0.5910
La: 0.2135 0.5910 0.2135
La: 0.3325 0.0370 0.0370
La: 0.4090 0.7865 0.7865
La: 0.5910 0.2135 0.2135
La: 0.6675 0.9630 0.9630
La: 0.7865 0.4090 0.7865
La: 0.7865 0.7865 0.4090
La: 0.9630 0.6675 0.9630
La: 0.9630 0.9630 0.6675
Tb: 0.0000 0.0000 0.0000
Tb: 0.5000 0.5000 0.5000
Tm: 0.1357 0.6066 0.6066
Tm: 0.3934 0.3934 0.8643
Tm: 0.3934 0.8643 0.3934
Tm: 0.6066 0.1357 0.6066
Tm: 0.6066 0.6066 0.1357
Tm: 0.8643 0.3934 0.3934

***

5.
AlCoBi2: calculated PXRD pattern (a wavelength of 1.5418 Å), based on the GGA-PBE geometry in Alexandria.

Peak list (12 most intense, 10 to 90 degrees two-theta, in order of rising 2θ)
d [Å]	Rel. int.
5.506	10
3.576	100
3.198	12
3.050	17
2.668	6
2.207	37
2.157	16
1.911	18
1.847	25
1.788	7
1.430	11
1.255	8

Atomic structure:
abc: 6.0998 6.0998 12.7908
angles: 90.00 90.00 90.00
Fractional positions:
Al: 0.0000 0.0000 0.0000
Al: 0.0000 0.5000 0.2500
Al: 0.5000 0.0000 0.7500
Al: 0.5000 0.5000 0.5000
Co: 0.0000 0.0000 0.5000
Co: 0.0000 0.5000 0.7500
Co: 0.5000 0.0000 0.2500
Co: 0.5000 0.5000 0.0000
Bi: 0.2091 0.2500 0.6250
Bi: 0.2500 0.7091 0.8750
Bi: 0.2500 0.7909 0.3750
Bi: 0.2909 0.2500 0.1250
Bi: 0.7091 0.7500 0.1250
Bi: 0.7500 0.2091 0.3750
Bi: 0.7500 0.2909 0.8750
Bi: 0.7909 0.7500 0.6250

***

6.
PrSm12Er6: calculated PXRD pattern (a wavelength of 1.5418 Å), based on the GGA-PBE geometry in Alexandria.

Peak list (12 most intense, 10 to 90 degrees two-theta, in order of rising 2θ)
d [Å]	Rel. int.
3.881	9
3.818	9
2.923	40
2.869	24
2.843	100
2.739	66
2.705	29
2.590	17
2.026	13
1.739	10
1.672	18
1.596	13

Atomic structure:
abc: 8.6110 8.6110 8.6110
angles: 88.81 88.81 88.81
Fractional positions:
Pr: 0.0000 0.0000 0.0000
Sm: 0.0150 0.1999 0.3612
Sm: 0.1999 0.3612 0.0150
Sm: 0.2210 0.4618 0.5667
Sm: 0.3612 0.0150 0.1999
Sm: 0.4333 0.7790 0.5382
Sm: 0.4618 0.5667 0.2210
Sm: 0.5382 0.4333 0.7790
Sm: 0.5667 0.2210 0.4618
Sm: 0.6388 0.9850 0.8001
Sm: 0.7790 0.5382 0.4333
Sm: 0.8001 0.6388 0.9850
Sm: 0.9850 0.8001 0.6388
Er: 0.0984 0.6967 0.2583
Er: 0.2583 0.0984 0.6967
Er: 0.3033 0.7417 0.9016
Er: 0.6967 0.2583 0.0984
Er: 0.7417 0.9016 0.3033
Er: 0.9016 0.3033 0.7417

***

7.
KTl2IrO4: calculated PXRD pattern (a wavelength of 1.5418 Å), based on the GGA-PBE geometry in Alexandria.

Peak list (12 most intense, 10 to 90 degrees two-theta, in order of rising 2θ)
d [Å]	Rel. int.
4.824	23
3.267	59
2.828	100
2.705	11
2.310	32
1.789	58
1.633	10
1.568	15
1.461	13
1.414	26
1.206	23
1.131	12

Atomic structure:
abc: 6.5331 6.5331 7.1521
angles: 90.00 90.00 90.00
Fractional positions:
K: 0.0000 0.0000 0.0000
K: 0.5000 0.5000 0.5000
Tl: 0.0000 0.0000 0.5000
Tl: 0.0000 0.5000 0.2500
Tl: 0.5000 0.0000 0.7500
Tl: 0.5000 0.5000 0.0000
Ir: 0.0000 0.5000 0.7500
Ir: 0.5000 0.0000 0.2500
O: 0.1942 0.7124 0.7473
O: 0.2124 0.3058 0.7527
O: 0.2876 0.1942 0.2527
O: 0.3058 0.7876 0.2473
O: 0.6942 0.2124 0.2473
O: 0.7124 0.8058 0.2527
O: 0.7876 0.6942 0.7527
O: 0.8058 0.2876 0.7473

***

8.
LiZnCo: calculated PXRD pattern (a wavelength of 1.5418 Å), based on the GGA-PBE geometry in Alexandria.

Peak list (12 most intense, 10 to 90 degrees two-theta, in order of rising 2θ)
d [Å]	Rel. int.
8.618	100
3.221	9
2.521	5
2.213	29
2.100	29
2.040	11
1.947	10
1.938	10
1.831	9
1.736	8
1.296	5
1.293	5

Atomic structure:
abc: 2.6361 3.4724 8.6183
angles: 90.00 90.26 90.00
Fractional positions:
Li: 0.2454 0.2500 0.1028
Li: 0.7546 0.7500 0.8972
Zn: 0.2533 0.2500 0.7270
Zn: 0.7467 0.7500 0.2730
Co: 0.2490 0.2500 0.4335
Co: 0.7510 0.7500 0.5665

***

Please write out number 5 again, unchanged.
AlCoBi2: calculated PXRD pattern (a wavelength of 1.5418 Å), based on the GGA-PBE geometry in Alexandria.

Peak list (12 most intense, 10 to 90 degrees two-theta, in order of rising 2θ)
d [Å]	Rel. int.
5.506	10
3.576	100
3.198	12
3.050	17
2.668	6
2.207	37
2.157	16
1.911	18
1.847	25
1.788	7
1.430	11
1.255	8

Atomic structure:
abc: 6.0998 6.0998 12.7908
angles: 90.00 90.00 90.00
Fractional positions:
Al: 0.0000 0.0000 0.0000
Al: 0.0000 0.5000 0.2500
Al: 0.5000 0.0000 0.7500
Al: 0.5000 0.5000 0.5000
Co: 0.0000 0.0000 0.5000
Co: 0.0000 0.5000 0.7500
Co: 0.5000 0.0000 0.2500
Co: 0.5000 0.5000 0.0000
Bi: 0.2091 0.2500 0.6250
Bi: 0.2500 0.7091 0.8750
Bi: 0.2500 0.7909 0.3750
Bi: 0.2909 0.2500 0.1250
Bi: 0.7091 0.7500 0.1250
Bi: 0.7500 0.2091 0.3750
Bi: 0.7500 0.2909 0.8750
Bi: 0.7909 0.7500 0.6250